[1]
Starting from a PBE-relaxed structure, the powder diffractogram of KBa2Fe was computed for Cu Kα.

Peak list (10 most intense, 10 to 80 degrees two-theta, in order of rising 2θ)
22.13°, I 31.2
23.11°, I 56.9
27.23°, I 70.8
27.99°, I 100.0
35.99°, I 33.7
37.82°, I 17.8
41.01°, I 14.1
42.68°, I 35.0
47.22°, I 30.4
47.60°, I 16.0

Atomic structure:
```
KBa2Fe
1.0
4.758 0.000 0.000
0.000 4.402 0.000
-2.374 0.000 9.820
K Ba Fe
1 2 1
Cartesian
0.000 0.000 0.000
0.004 2.201 6.334
2.386 0.000 3.464
0.009 2.201 3.134
```

---

[2]
Starting from a PBE-relaxed structure, the powder diffractogram of BeTcSe was computed for Cu Kα.

Peak list (10 most intense, 10 to 80 degrees two-theta, in order of rising 2θ)
22.32°, I 23.6
30.70°, I 74.1
40.78°, I 67.2
44.77°, I 100.0
45.55°, I 9.3
46.98°, I 12.9
59.04°, I 22.1
62.78°, I 13.9
68.02°, I 14.4
77.03°, I 39.3

Atomic structure:
```
BeTcSe
1.0
-1.565 1.565 3.983
1.565 -1.565 3.983
1.565 1.565 -3.983
Be Tc Se
1 1 1
Cartesian
0.000 0.000 0.000
0.000 0.000 2.801
0.000 0.000 5.328
```

---

[3]
Starting from a PBE-relaxed structure, the powder diffractogram of GaBr2F was computed for Cu Kα.

Peak list (10 most intense, 10 to 80 degrees two-theta, in order of rising 2θ)
12.78°, I 100.0
12.96°, I 94.3
16.47°, I 97.5
17.90°, I 55.3
19.84°, I 37.6
24.03°, I 64.9
25.24°, I 46.4
33.78°, I 43.2
39.04°, I 76.0
47.41°, I 31.6

Atomic structure:
```
GaBr2F
1.0
5.968 0.000 0.000
-1.775 7.041 0.000
-2.871 -1.261 6.831
Ga Br F
2 4 2
Cartesian
0.000 0.000 0.000
0.109 -0.092 5.903
-1.846 5.215 1.354
1.124 1.998 0.746
-0.046 1.706 4.486
0.249 5.688 4.667
-2.815 5.471 5.817
4.153 0.953 0.517
```